Diffraction record for Y2ErCo2B2P3. The powder diffraction line list is simulated, not measured: it uses DFT lattice parameters and positions (GGA-PBE) and Cu Kα X-rays.
No peak broadening, texture or thermal motion is included.

Structure:
```
data_Y2ErCo2B2P3
_symmetry_space_group_name_H-M 'P 1'
_symmetry_Int_Tables_number 1
_cell_length_a 11.246
_cell_length_b 11.246
_cell_length_c 11.246
_cell_angle_alpha 160.31
_cell_angle_beta 160.31
_cell_angle_gamma 27.99
loop_
_symmetry_equiv_pos_as_xyz
'x,y,z'
loop_
_atom_site_label
_atom_site_type_symbol
_atom_site_fract_x
_atom_site_fract_y
_atom_site_fract_z
_atom_site_occupancy
Y1 Y 0.137 0.137 0.000 1
Y2 Y 0.863 0.863 0.000 1
Er1 Er 0.500 0.500 0.000 1
Co1 Co 0.250 0.750 0.500 1
Co2 Co 0.750 0.250 0.500 1
B1 B 0.285 0.285 0.000 1
B2 B 0.715 0.715 0.000 1
P1 P 0.000 0.000 0.000 1
P2 P 0.376 0.376 0.000 1
P3 P 0.624 0.624 0.000 1
```

The 10 most intense peaks (5° ≤ 2θ ≤ 70°), by angle:
2θ (°)	I/Imax
26.21	100
30.99	37
32.83	72
32.93	56
33.97	73
41.45	85
47.24	89
54.84	28
58.74	51
69.50	27


Diffraction record for FeCo3B4. The powder diffraction line list is simulated, not measured: it uses DFT lattice parameters and positions (GGA-PBE) and Cu Kα X-rays.
No peak broadening, texture or thermal motion is included.

Structure:
```
data_FeCo3B4
_symmetry_space_group_name_H-M 'P 1'
_symmetry_Int_Tables_number 1
_cell_length_a 3.950
_cell_length_b 3.031
_cell_length_c 5.241
_cell_angle_alpha 90.00
_cell_angle_beta 90.23
_cell_angle_gamma 90.00
loop_
_symmetry_equiv_pos_as_xyz
'x,y,z'
loop_
_atom_site_label
_atom_site_type_symbol
_atom_site_fract_x
_atom_site_fract_y
_atom_site_fract_z
_atom_site_occupancy
Fe1 Fe 0.000 0.000 0.000 1
Co1 Co 0.248 0.000 0.497 1
Co2 Co 0.498 0.500 0.142 1
Co3 Co 0.749 0.500 0.643 1
B1 B 0.254 0.500 0.785 1
B2 B 0.497 0.000 0.854 1
B3 B 0.749 0.000 0.355 1
B4 B 0.994 0.500 0.289 1
```

The 10 most intense peaks (5° ≤ 2θ ≤ 70°), by angle:
2θ (°)	I/Imax
34.22	24
37.40	57
41.30	100
41.43	15
45.77	57
49.23	27
49.37	27
51.52	14
51.65	15
61.15	20


Diffraction record for HoFeCoB2. The powder diffraction line list is simulated, not measured: it uses DFT lattice parameters and positions (GGA-PBE) and Cu Kα X-rays.
No peak broadening, texture or thermal motion is included.

Structure:
```
data_HoFeCoB2
_symmetry_space_group_name_H-M 'P 1'
_symmetry_Int_Tables_number 1
_cell_length_a 5.238
_cell_length_b 5.238
_cell_length_c 5.238
_cell_angle_alpha 139.80
_cell_angle_beta 139.80
_cell_angle_gamma 58.16
loop_
_symmetry_equiv_pos_as_xyz
'x,y,z'
loop_
_atom_site_label
_atom_site_type_symbol
_atom_site_fract_x
_atom_site_fract_y
_atom_site_fract_z
_atom_site_occupancy
Ho1 Ho 0.000 0.000 0.000 1
Fe1 Fe 0.250 0.750 0.500 1
Co1 Co 0.750 0.250 0.500 1
B1 B 0.342 0.342 0.000 1
B2 B 0.658 0.658 0.000 1
```

The 10 most intense peaks (5° ≤ 2θ ≤ 70°), by angle:
2θ (°)	I/Imax
26.60	93
35.25	3
38.68	47
39.37	26
40.55	100
50.71	30
56.37	13
58.17	22
65.55	20
66.03	22


Diffraction record for NdYFe2Co6B2. The powder diffraction line list is simulated, not measured: it uses DFT lattice parameters and positions (GGA-PBE) and Cu Kα X-rays.
No peak broadening, texture or thermal motion is included.

Structure:
```
data_NdYFe2Co6B2
_symmetry_space_group_name_H-M 'P 1'
_symmetry_Int_Tables_number 1
_cell_length_a 5.100
_cell_length_b 5.100
_cell_length_c 6.805
_cell_angle_alpha 90.00
_cell_angle_beta 90.00
_cell_angle_gamma 120.00
loop_
_symmetry_equiv_pos_as_xyz
'x,y,z'
loop_
_atom_site_label
_atom_site_type_symbol
_atom_site_fract_x
_atom_site_fract_y
_atom_site_fract_z
_atom_site_occupancy
Nd1 Nd 0.000 0.000 0.000 1
Y1 Y 0.000 0.000 0.500 1
Fe1 Fe 0.333 0.667 0.000 1
Fe2 Fe 0.667 0.333 0.000 1
Co1 Co 0.000 0.500 0.291 1
Co2 Co 0.000 0.500 0.709 1
Co3 Co 0.500 0.000 0.291 1
Co4 Co 0.500 0.000 0.709 1
Co5 Co 0.500 0.500 0.291 1
Co6 Co 0.500 0.500 0.709 1
B1 B 0.333 0.667 0.500 1
B2 B 0.667 0.333 0.500 1
```

The 10 most intense peaks (5° ≤ 2θ ≤ 70°), by angle:
2θ (°)	I/Imax
33.24	77
35.20	26
37.67	25
39.74	18
40.87	83
44.40	100
58.32	13
61.92	25
69.58	24
69.79	14


Diffraction record for Fe4CoB2P. The powder diffraction line list is simulated, not measured: it uses DFT lattice parameters and positions (GGA-PBE) and Cu Kα X-rays.
No peak broadening, texture or thermal motion is included.

Structure:
```
data_Fe4CoB2P
_symmetry_space_group_name_H-M 'P 1'
_symmetry_Int_Tables_number 1
_cell_length_a 6.466
_cell_length_b 6.466
_cell_length_c 6.466
_cell_angle_alpha 131.11
_cell_angle_beta 131.11
_cell_angle_gamma 71.64
loop_
_symmetry_equiv_pos_as_xyz
'x,y,z'
loop_
_atom_site_label
_atom_site_type_symbol
_atom_site_fract_x
_atom_site_fract_y
_atom_site_fract_z
_atom_site_occupancy
Fe1 Fe 0.029 0.529 0.838 1
Fe2 Fe 0.191 0.029 0.500 1
Fe3 Fe 0.309 0.809 0.838 1
Fe4 Fe 0.471 0.309 0.500 1
Fe5 Fe 0.529 0.691 0.500 1
Fe6 Fe 0.691 0.191 0.162 1
Fe7 Fe 0.809 0.971 0.500 1
Fe8 Fe 0.971 0.471 0.162 1
Co1 Co 0.000 0.000 0.000 1
Co2 Co 0.500 0.500 0.000 1
B1 B 0.121 0.379 0.500 1
B2 B 0.379 0.879 0.258 1
B3 B 0.621 0.121 0.742 1
B4 B 0.879 0.621 0.500 1
P1 P 0.250 0.250 0.000 1
P2 P 0.750 0.750 0.000 1
```

The 10 most intense peaks (5° ≤ 2θ ≤ 70°), by angle:
2θ (°)	I/Imax
29.10	7
34.21	14
37.75	11
38.59	65
41.93	46
45.96	100
48.09	20
48.63	67
52.35	9
54.20	50


Diffraction record for Fe4CoSiB2. The powder diffraction line list is simulated, not measured: it uses DFT lattice parameters and positions (GGA-PBE) and Cu Kα X-rays.
No peak broadening, texture or thermal motion is included.

Structure:
```
data_Fe4CoSiB2
_symmetry_space_group_name_H-M 'P 1'
_symmetry_Int_Tables_number 1
_cell_length_a 6.427
_cell_length_b 6.427
_cell_length_c 6.427
_cell_angle_alpha 129.63
_cell_angle_beta 129.63
_cell_angle_gamma 74.00
loop_
_symmetry_equiv_pos_as_xyz
'x,y,z'
loop_
_atom_site_label
_atom_site_type_symbol
_atom_site_fract_x
_atom_site_fract_y
_atom_site_fract_z
_atom_site_occupancy
Fe1 Fe 0.028 0.528 0.831 1
Fe2 Fe 0.197 0.028 0.500 1
Fe3 Fe 0.303 0.803 0.831 1
Fe4 Fe 0.472 0.303 0.500 1
Fe5 Fe 0.528 0.697 0.500 1
Fe6 Fe 0.697 0.197 0.169 1
Fe7 Fe 0.803 0.972 0.500 1
Fe8 Fe 0.972 0.472 0.169 1
Co1 Co 0.000 0.000 0.000 1
Co2 Co 0.500 0.500 0.000 1
Si1 Si 0.250 0.250 0.000 1
Si2 Si 0.750 0.750 0.000 1
B1 B 0.123 0.377 0.500 1
B2 B 0.377 0.877 0.255 1
B3 B 0.623 0.123 0.745 1
B4 B 0.877 0.623 0.500 1
```

The 10 most intense peaks (5° ≤ 2θ ≤ 70°), by angle:
2θ (°)	I/Imax
28.90	8
34.96	15
37.25	10
37.80	75
42.26	48
45.58	100
46.98	19
48.65	63
52.93	56
58.70	11


Diffraction record for YFeCo3B. The powder diffraction line list is simulated, not measured: it uses DFT lattice parameters and positions (GGA-PBE) and Cu Kα X-rays.
No peak broadening, texture or thermal motion is included.

Structure:
```
data_YFeCo3B
_symmetry_space_group_name_H-M 'P 1'
_symmetry_Int_Tables_number 1
_cell_length_a 5.056
_cell_length_b 5.056
_cell_length_c 6.783
_cell_angle_alpha 90.00
_cell_angle_beta 90.00
_cell_angle_gamma 120.00
loop_
_symmetry_equiv_pos_as_xyz
'x,y,z'
loop_
_atom_site_label
_atom_site_type_symbol
_atom_site_fract_x
_atom_site_fract_y
_atom_site_fract_z
_atom_site_occupancy
Y1 Y 0.000 0.000 0.000 1
Y2 Y 0.000 0.000 0.500 1
Fe1 Fe 0.333 0.667 0.000 1
Fe2 Fe 0.667 0.333 0.000 1
Co1 Co 0.000 0.500 0.288 1
Co2 Co 0.000 0.500 0.712 1
Co3 Co 0.500 0.000 0.288 1
Co4 Co 0.500 0.000 0.712 1
Co5 Co 0.500 0.500 0.288 1
Co6 Co 0.500 0.500 0.712 1
B1 B 0.333 0.667 0.500 1
B2 B 0.667 0.333 0.500 1
```

The 10 most intense peaks (5° ≤ 2θ ≤ 70°), by angle:
2θ (°)	I/Imax
33.42	65
35.51	20
37.98	16
39.87	16
41.23	84
43.43	12
44.71	100
49.56	18
54.08	14
62.44	20


Diffraction record for Ga2CoB. The powder diffraction line list is simulated, not measured: it uses DFT lattice parameters and positions (GGA-PBE) and Cu Kα X-rays.
No peak broadening, texture or thermal motion is included.

Structure:
```
data_Ga2CoB
_symmetry_space_group_name_H-M 'P 1'
_symmetry_Int_Tables_number 1
_cell_length_a 4.087
_cell_length_b 4.087
_cell_length_c 4.087
_cell_angle_alpha 60.00
_cell_angle_beta 60.00
_cell_angle_gamma 60.00
loop_
_symmetry_equiv_pos_as_xyz
'x,y,z'
loop_
_atom_site_label
_atom_site_type_symbol
_atom_site_fract_x
_atom_site_fract_y
_atom_site_fract_z
_atom_site_occupancy
Ga1 Ga 0.000 0.000 0.000 1
Ga2 Ga 0.250 0.250 0.250 1
Co1 Co 0.750 0.750 0.750 1
B1 B 0.500 0.500 0.500 1
```

The 6 most intense peaks (5° ≤ 2θ ≤ 70°), by angle:
2θ (°)	I/Imax
26.72	24
30.95	9
44.33	100
52.52	12
55.04	2
64.49	15


Diffraction record for Gd3Co11B4. The powder diffraction line list is simulated, not measured: it uses DFT lattice parameters and positions (GGA-PBE) and Cu Kα X-rays.
No peak broadening, texture or thermal motion is included.

Structure:
```
data_Gd3Co11B4
_symmetry_space_group_name_H-M 'P 1'
_symmetry_Int_Tables_number 1
_cell_length_a 5.050
_cell_length_b 5.050
_cell_length_c 9.756
_cell_angle_alpha 90.00
_cell_angle_beta 90.00
_cell_angle_gamma 120.00
loop_
_symmetry_equiv_pos_as_xyz
'x,y,z'
loop_
_atom_site_label
_atom_site_type_symbol
_atom_site_fract_x
_atom_site_fract_y
_atom_site_fract_z
_atom_site_occupancy
Gd1 Gd 0.000 0.000 0.000 1
Gd2 Gd 0.000 0.000 0.342 1
Gd3 Gd 0.000 0.000 0.658 1
Co1 Co 0.000 0.500 0.202 1
Co2 Co 0.000 0.500 0.500 1
Co3 Co 0.000 0.500 0.798 1
Co4 Co 0.333 0.667 0.000 1
Co5 Co 0.500 0.000 0.202 1
Co6 Co 0.500 0.000 0.500 1
Co7 Co 0.500 0.000 0.798 1
Co8 Co 0.500 0.500 0.202 1
Co9 Co 0.500 0.500 0.500 1
Co10 Co 0.500 0.500 0.798 1
Co11 Co 0.667 0.333 0.000 1
B1 B 0.333 0.667 0.350 1
B2 B 0.333 0.667 0.650 1
B3 B 0.667 0.333 0.350 1
B4 B 0.667 0.333 0.650 1
```

The 10 most intense peaks (5° ≤ 2θ ≤ 70°), by angle:
2θ (°)	I/Imax
20.31	23
34.37	100
35.56	29
36.82	10
41.29	91
42.41	12
45.48	95
56.61	10
63.09	34
68.64	15


Diffraction record for Gd2Co7B3. The powder diffraction line list is simulated, not measured: it uses DFT lattice parameters and positions (GGA-PBE) and Cu Kα X-rays.
No peak broadening, texture or thermal motion is included.

Structure:
```
data_Gd2Co7B3
_symmetry_space_group_name_H-M 'P 1'
_symmetry_Int_Tables_number 1
_cell_length_a 5.045
_cell_length_b 5.045
_cell_length_c 12.769
_cell_angle_alpha 90.00
_cell_angle_beta 90.00
_cell_angle_gamma 120.00
loop_
_symmetry_equiv_pos_as_xyz
'x,y,z'
loop_
_atom_site_label
_atom_site_type_symbol
_atom_site_fract_x
_atom_site_fract_y
_atom_site_fract_z
_atom_site_occupancy
Gd1 Gd 0.000 0.000 0.000 1
Gd2 Gd 0.000 0.000 0.239 1
Gd3 Gd 0.000 0.000 0.500 1
Gd4 Gd 0.000 0.000 0.761 1
Co1 Co 0.000 0.500 0.116 1
Co2 Co 0.000 0.500 0.345 1
Co3 Co 0.000 0.500 0.655 1
Co4 Co 0.000 0.500 0.884 1
Co5 Co 0.333 0.667 0.500 1
Co6 Co 0.500 0.000 0.116 1
Co7 Co 0.500 0.000 0.345 1
Co8 Co 0.500 0.000 0.655 1
Co9 Co 0.500 0.000 0.884 1
Co10 Co 0.500 0.500 0.116 1
Co11 Co 0.500 0.500 0.345 1
Co12 Co 0.500 0.500 0.655 1
Co13 Co 0.500 0.500 0.884 1
Co14 Co 0.667 0.333 0.500 1
B1 B 0.333 0.667 0.000 1
B2 B 0.333 0.667 0.232 1
B3 B 0.333 0.667 0.768 1
B4 B 0.667 0.333 0.000 1
B5 B 0.667 0.333 0.232 1
B6 B 0.667 0.333 0.768 1
```

The 10 most intense peaks (5° ≤ 2θ ≤ 70°), by angle:
2θ (°)	I/Imax
20.32	26
34.81	100
35.59	26
40.93	9
41.33	94
41.62	6
45.85	82
57.76	8
63.41	35
69.72	9